For Rb2SmCuCl6, a DFT-relaxed cell (PBE, the Materials Project) gives the computed powder diffractogram in this record (Cu Kα (weighted mean of Kα1 and Kα2)).
Kinematic intensities with the Lorentz-polarization factor, no thermal factor.

Structure:
a b c (Å): 10.5258 10.5258 10.5258
angles (deg): 90.00 90.00 90.00
Space group Fm-3m (No. 225)
Symmetry-distinct sites (fractional):
Rb: 0.2500 0.2500 0.2500 (multiplicity 8)
Sm: 0.0000 0.0000 0.0000 (multiplicity 4)
Cu: 0.0000 0.0000 0.5000 (multiplicity 4)
Cl: 0.0000 0.0000 0.2563 (multiplicity 24)

Largest 6 diffraction maxima, in order of falling intensity, 2θ = 15–90°:
2θ = 23.91°, intensity 1000; 2θ = 34.07°, intensity 730; 2θ = 48.95°, intensity 489; 2θ = 42.05°, intensity 459; 2θ = 66.47°, intensity 239; 2θ = 55.19°, intensity 211